1.
Starting from a structure optimized by DFT (GGA-PBE), the powder diffraction line list of Na2TbO3 was calculated for Cu Kα, 1.54184 Å.
Kinematic intensities with the Lorentz-polarization factor, no thermal factor.

Most intense lines, 10° ≤ 2θ ≤ 90°, by angle:
d_spacing  I/Imax
5.260  69
4.279  88
3.275  40
2.807  39
2.457  100
1.695  42

Structure:
abc: 6.0098 6.0098 6.0098
angles: 146.68 134.13 57.87
Fractional positions:
Na (0.1752, 0.1752, 0.0000)
Na (0.8248, 0.8248, 0.0000)
Tb (0.5000, 0.5000, 0.0000)
O (0.0000, 0.5000, 0.5000)
O (0.3556, 0.8556, 0.5000)
O (0.6444, 0.1444, 0.5000)

---

2.
Starting from a structure optimized by DFT (GGA-PBE), the powder diffraction line list of Na2TbO3 was calculated for Cu Kα, 1.54184 Å.
Kinematic intensities with the Lorentz-polarization factor, no thermal factor.

Most intense lines, 10° ≤ 2θ ≤ 90°, by angle:
d_spacing  I/Imax
5.061  100
4.693  83
2.782  76
2.455  72
2.408  69
2.360  71

Structure:
abc: 5.8520 5.9182 8.8929
angles: 70.91 72.39 61.21
Fractional positions:
Na (0.1082, 0.2750, 0.1663)
Na (0.2160, 0.0517, 0.8340)
Na (0.3261, 0.8478, 0.5007)
Na (0.6739, 0.1522, 0.4993)
Na (0.7840, 0.9483, 0.1660)
Na (0.8918, 0.7250, 0.8337)
Tb (0.0000, 0.5000, 0.5000)
Tb (0.4550, 0.6247, 0.1670)
Tb (0.5450, 0.3753, 0.8330)
O (0.0808, 0.8489, 0.3314)
O (0.2172, 0.6465, 0.9938)
O (0.2687, 0.4422, 0.6705)
O (0.3638, 0.2720, 0.3372)
O (0.5000, 0.0000, 0.0000)
O (0.6362, 0.7280, 0.6628)
O (0.7313, 0.5578, 0.3295)
O (0.7828, 0.3535, 0.0062)
O (0.9192, 0.1511, 0.6686)

---

3.
Starting from a structure optimized by DFT (GGA-PBE), the powder diffraction line list of Na5TbO6 was calculated for Cu Kα, 1.54184 Å.
Kinematic intensities with the Lorentz-polarization factor, no thermal factor.

Most intense lines, 10° ≤ 2θ ≤ 90°, by angle:
d_spacing  I/Imax
5.504  56
5.130  66
4.682  57
4.086  41
2.427  52
2.423  100

Structure:
abc: 5.9821 5.9821 11.1911
angles: 95.20 95.20 119.73
Fractional positions:
Na (0.0000, 0.5000, 0.5000)
Na (0.0842, 0.9158, 0.7500)
Na (0.1435, 0.3214, 0.9993)
Na (0.2483, 0.7517, 0.2500)
Na (0.3214, 0.1435, 0.4993)
Na (0.5000, 0.0000, 0.0000)
Na (0.6786, 0.8565, 0.5007)
Na (0.7517, 0.2483, 0.7500)
Na (0.8565, 0.6786, 0.0007)
Na (0.9158, 0.0842, 0.2500)
Tb (0.4160, 0.5840, 0.7500)
Tb (0.5840, 0.4160, 0.2500)
O (0.0706, 0.2336, 0.6319)
O (0.1475, 0.6225, 0.8692)
O (0.2336, 0.0706, 0.1319)
O (0.3141, 0.4567, 0.3670)
O (0.3775, 0.8525, 0.6308)
O (0.4567, 0.3141, 0.8670)
O (0.5433, 0.6859, 0.1330)
O (0.6225, 0.1475, 0.3692)
O (0.6859, 0.5433, 0.6330)
O (0.7664, 0.9294, 0.8681)
O (0.8525, 0.3775, 0.1308)
O (0.9294, 0.7664, 0.3681)